# 1
Structure and theoretical PXRD pattern of Tl8Pb2Au3 (the GGA-PBE geometry in Alexandria; Cu Kα X-rays).
No peak broadening, texture or thermal motion is included.

Principal peaks in the range 10° ≤ 2θ ≤ 90°, in order of rising 2θ:
Position (°2θ)	I (rel.)
33.89	100.0
34.66	93.1
34.88	47.1
35.11	47.6
48.17	17.4
50.33	34.0
61.42	17.7
62.22	18.2

Structure:
Lattice parameters (Å, degrees): 9.0135 5.1117 9.2758 90.00 111.51 90.00
Space group P2/m (No. 10)
Unique sites:
Tl 0.1111 0.0000 0.3843 [2 per cell]
Tl 0.1445 0.5000 0.8724 [2 per cell]
Tl 0.3666 0.5000 0.6390 [2 per cell]
Tl 0.3769 0.0000 0.1131 [2 per cell]
Pb 0.2476 0.5000 0.2543 [2 per cell]
Au 0.0000 0.5000 0.5000 [1 per cell]
Au 0.2646 0.0000 0.7629 [2 per cell]

---

# 2
Structure and theoretical PXRD pattern of LiIn4Au5 (the GGA-PBE geometry in Alexandria; Cu Kα X-rays).
No peak broadening, texture or thermal motion is included.

Principal peaks in the range 10° ≤ 2θ ≤ 90°, in order of rising 2θ:
Position (°2θ)	I (rel.)
18.58	17.4
27.88	29.5
31.21	37.0
32.83	100.0
40.87	17.9
43.32	26.4
45.93	65.9
47.12	26.6

Structure:
Lattice parameters (Å, degrees): 8.6259 8.6259 5.7324 90.00 90.00 90.00
Space group I4 (No. 79)
Unique sites:
Li 0.0000 0.0000 0.0000 [2 per cell]
In 0.0759 0.3011 0.7295 [8 per cell]
Au 0.0000 0.0000 0.5314 [2 per cell]
Au 0.0885 0.2584 0.2235 [8 per cell]

---

# 3
Structure and theoretical PXRD pattern of Er2Sc4As3N2 (the GGA-PBE geometry in Alexandria; Cu Kα X-rays).
No peak broadening, texture or thermal motion is included.

Principal peaks in the range 10° ≤ 2θ ≤ 90°, in order of rising 2θ:
Position (°2θ)	I (rel.)
23.96	53.7
29.71	56.7
30.75	78.1
31.29	33.7
34.62	47.9
38.12	100.0
42.52	73.9
53.73	28.5

Structure:
Lattice parameters (Å, degrees): 4.2523 4.2523 22.8700 90.00 90.00 90.00
Space group I4/mmm (No. 139)
Unique sites:
Er 0.0000 0.0000 0.1947 [4 per cell]
Sc 0.0000 0.5000 0.0794 [8 per cell]
As 0.0000 0.0000 0.3243 [4 per cell]
As 0.0000 0.0000 0.5000 [2 per cell]
N 0.0000 0.0000 0.0946 [4 per cell]

---

# 4
Structure and theoretical PXRD pattern of CoNiSn6 (the GGA-PBE geometry in Alexandria; Cu Kα X-rays).
No peak broadening, texture or thermal motion is included.

Principal peaks in the range 10° ≤ 2θ ≤ 90°, in order of rising 2θ:
Position (°2θ)	I (rel.)
19.18	22.4
30.42	25.0
30.54	100.0
30.70	25.6
36.22	25.5
36.42	28.6
43.76	27.1
58.13	25.4

Structure:
Lattice parameters (Å, degrees): 12.9929 9.2518 9.2466 90.00 134.52 90.00
Space group C2/m (No. 12)
Unique sites:
Co 0.2500 0.2500 0.0000 [4 per cell]
Ni 0.2500 0.2500 0.5000 [4 per cell]
Sn 0.0024 0.1662 0.6805 [8 per cell]
Sn 0.1650 0.3203 0.1644 [8 per cell]
Sn 0.1745 0.5000 0.5128 [4 per cell]
Sn 0.1855 0.5000 0.8546 [4 per cell]

---

# 5
Structure and theoretical PXRD pattern of PuGaAg3 (the GGA-PBE geometry in Alexandria; Cu Kα X-rays).
No peak broadening, texture or thermal motion is included.

Principal peaks in the range 10° ≤ 2θ ≤ 90°, in order of rising 2θ:
Position (°2θ)	I (rel.)
27.99	20.3
35.55	100.0
36.19	80.2
36.43	41.5
43.35	14.8
57.86	19.7
64.99	17.4
72.67	16.8

Structure:
Lattice parameters (Å, degrees): 4.9323 6.6274 6.3755 90.00 90.00 90.00
Space group Pmn2_1 (No. 31)
Unique sites:
Pu 0.0000 0.2501 0.0000 [2 per cell]
Ga 0.0000 0.7490 0.7907 [2 per cell]
Ag 0.0000 0.0468 0.5029 [2 per cell]
Ag 0.0000 0.4526 0.5018 [2 per cell]
Ag 0.0000 0.7502 0.1866 [2 per cell]

---

# 6
Structure and theoretical PXRD pattern of MnOsRu6 (the GGA-PBE geometry in Alexandria; Cu Kα X-rays).
No peak broadening, texture or thermal motion is included.

Principal peaks in the range 10° ≤ 2θ ≤ 90°, in order of rising 2θ:
Position (°2θ)	I (rel.)
38.37	24.9
42.25	25.0
44.02	100.0
58.38	14.2
69.39	16.7
78.49	17.5
84.73	12.9
85.93	14.2

Structure:
Lattice parameters (Å, degrees): 2.7098 8.5565 9.3786 90.00 90.00 90.00
Space group Amm2 (No. 38)
Unique sites:
Mn 0.0000 0.0000 0.0000 [2 per cell]
Os 0.5000 0.0000 0.7532 [2 per cell]
Ru 0.0000 0.0000 0.5018 [2 per cell]
Ru 0.0000 0.2475 0.8364 [4 per cell]
Ru 0.5000 0.0000 0.2476 [2 per cell]
Ru 0.5000 0.2442 0.0820 [4 per cell]

---

# 7
Structure and theoretical PXRD pattern of Na5NpSe4 (the GGA-PBE geometry in Alexandria; Cu Kα X-rays).
No peak broadening, texture or thermal motion is included.

Principal peaks in the range 10° ≤ 2θ ≤ 90°, in order of rising 2θ:
Position (°2θ)	I (rel.)
11.03	49.2
12.48	100.0
22.15	31.4
22.92	43.3
30.05	24.8
30.75	89.5
33.50	24.2
41.53	60.6

Structure:
Lattice parameters (Å, degrees): 17.8829 4.4533 7.9049 90.00 116.17 90.00
Space group C2/m (No. 12)
Unique sites:
Na 0.0000 0.0000 0.0000 [2 per cell]
Na 0.1761 0.5000 0.4461 [4 per cell]
Na 0.1758 0.5000 0.9066 [4 per cell]
Np 0.0000 0.0000 0.5000 [2 per cell]
Se 0.0002 0.5000 0.2525 [4 per cell]
Se 0.1921 0.0000 0.6924 [4 per cell]

---

# 8
Structure and theoretical PXRD pattern of Pm5GeSb4 (the GGA-PBE geometry in Alexandria; Cu Kα X-rays).
No peak broadening, texture or thermal motion is included.

Principal peaks in the range 10° ≤ 2θ ≤ 90°, in order of rising 2θ:
Position (°2θ)	I (rel.)
28.37	100.0
40.55	76.0
50.22	27.1
58.64	8.6
66.41	23.4
66.52	11.1
73.77	25.3
87.78	5.4

Structure:
Lattice parameters (Å, degrees): 4.4527 4.4527 31.4188 90.00 90.00 90.00
Space group I4/mmm (No. 139)
Unique sites:
Pm 0.0000 0.0000 0.0000 [2 per cell]
Pm 0.0000 0.0000 0.2002 [4 per cell]
Pm 0.0000 0.0000 0.4034 [4 per cell]
Ge 0.0000 0.0000 0.5000 [2 per cell]
Sb 0.0000 0.0000 0.0999 [4 per cell]
Sb 0.0000 0.0000 0.3016 [4 per cell]

---

# 9
Structure and theoretical PXRD pattern of Mg5AlPb2 (the GGA-PBE geometry in Alexandria; Cu Kα X-rays).
No peak broadening, texture or thermal motion is included.

Principal peaks in the range 10° ≤ 2θ ≤ 90°, in order of rising 2θ:
Position (°2θ)	I (rel.)
10.43	100.0
20.95	25.0
26.66	28.1
28.69	49.6
34.14	73.9
38.05	28.0
39.56	18.8
66.26	21.8

Structure:
Lattice parameters (Å, degrees): 4.7295 4.7295 16.9632 90.00 90.00 90.00
Space group I4/mmm (No. 139)
Unique sites:
Mg 0.0000 0.0000 0.0000 [2 per cell]
Mg 0.0000 0.5000 0.1150 [8 per cell]
Al 0.0000 0.0000 0.5000 [2 per cell]
Pb 0.0000 0.0000 0.2464 [4 per cell]

---

# 10
Structure and theoretical PXRD pattern of PrSbS3 (the GGA-PBE geometry in Alexandria; Cu Kα X-rays).
No peak broadening, texture or thermal motion is included.

Principal peaks in the range 10° ≤ 2θ ≤ 90°, in order of rising 2θ:
Position (°2θ)	I (rel.)
11.32	47.6
16.79	28.8
23.57	100.0
24.05	77.2
25.97	31.8
33.93	62.7
42.49	29.2
42.96	37.8

Structure:
Lattice parameters (Å, degrees): 7.8189 7.1662 10.5795 90.00 91.70 90.00
Space group P2_1/c (No. 14)
Unique sites:
Pr 0.0223 0.2247 0.1363 [4 per cell]
Sb 0.3688 0.6911 0.6138 [4 per cell]
S 0.1020 0.6176 0.1176 [4 per cell]
S 0.2388 0.0265 0.9529 [4 per cell]
S 0.2656 0.5043 0.7895 [4 per cell]

---

# 11
Structure and theoretical PXRD pattern of Cs2NaAu3C6N6 (the GGA-PBE geometry in Alexandria; Cu Kα X-rays).
No peak broadening, texture or thermal motion is included.

Principal peaks in the range 10° ≤ 2θ ≤ 90°, in order of rising 2θ:
Position (°2θ)	I (rel.)
14.81	20.9
19.25	29.6
20.15	63.6
26.26	46.4
28.23	26.6
28.65	100.0
37.47	57.7
49.98	23.5

Structure:
Lattice parameters (Å, degrees): 7.2996 7.2996 18.4389 90.00 90.00 120.00
Space group P6_3/mmc (No. 194)
Unique sites:
Cs 0.3333 0.6667 0.0553 [4 per cell]
Na 0.0000 0.0000 0.0000 [2 per cell]
Au 0.1738 0.3476 0.7500 [6 per cell]
C 0.1695 0.3390 0.6421 [12 per cell]
N 0.1634 0.3268 0.5785 [12 per cell]

---

# 12
Structure and theoretical PXRD pattern of PmDy2Ho2 (the GGA-PBE geometry in Alexandria; Cu Kα X-rays).
No peak broadening, texture or thermal motion is included.

Principal peaks in the range 10° ≤ 2θ ≤ 90°, in order of rising 2θ:
Position (°2θ)	I (rel.)
27.66	37.7
31.34	48.2
31.58	79.5
34.22	100.0
42.29	24.2
57.65	22.5
61.84	26.4
62.22	23.0

Structure:
Lattice parameters (Å, degrees): 3.5105 5.7085 16.3190 90.00 90.00 90.00
Space group Amm2 (No. 38)
Unique sites:
Pm 0.0000 0.0000 0.0000 [2 per cell]
Dy 0.0000 0.0000 0.3820 [2 per cell]
Dy 0.5000 0.0000 0.5735 [2 per cell]
Ho 0.0000 0.0000 0.7632 [2 per cell]
Ho 0.5000 0.0000 0.1927 [2 per cell]

---

# 13
Structure and theoretical PXRD pattern of PrSm2Dy (the GGA-PBE geometry in Alexandria; Cu Kα X-rays).
No peak broadening, texture or thermal motion is included.

Principal peaks in the range 10° ≤ 2θ ≤ 90°, in order of rising 2θ:
Position (°2θ)	I (rel.)
30.18	100.0
34.99	50.7
50.32	36.3
59.72	14.5
59.85	28.7
62.76	12.4
81.83	11.8
84.54	11.0

Structure:
Lattice parameters (Å, degrees): 5.1243 5.1243 5.1381 90.00 90.00 90.00
Space group P4/mmm (No. 123)
Unique sites:
Pr 0.0000 0.0000 0.0000 [1 per cell]
Sm 0.0000 0.5000 0.5000 [2 per cell]
Dy 0.5000 0.5000 0.0000 [1 per cell]